Simulated PXRD pattern of UB2O6 for Cu Kα, 1.54184 Å, from a crystal structure in the Materials Project, relaxed with GGA-PBE.

Structure:
a b c (Å): 6.681 6.681 10.848
angles (deg): 119.60 119.60 36.86
Atoms (fractional coordinates):
1 U 0.237 0.763 0.750
2 U 0.763 0.237 0.250
3 B 0.151 0.451 0.251
4 B 0.451 0.151 0.751
5 B 0.549 0.849 0.249
6 B 0.849 0.549 0.749
7 O 0.117 0.475 0.759
8 O 0.141 0.656 0.247
9 O 0.156 0.668 0.556
10 O 0.332 0.844 0.944
11 O 0.344 0.859 0.253
12 O 0.475 0.117 0.259
13 O 0.525 0.883 0.741
14 O 0.656 0.141 0.747
15 O 0.668 0.156 0.056
16 O 0.844 0.332 0.444
17 O 0.859 0.344 0.753
18 O 0.883 0.525 0.241

The 10 most intense peaks (5 to 70 degrees two-theta), in order of falling intensity:
d = 4.631 Å, 2θ 19.17, intensity 100
d = 3.897 Å, 2θ 22.82, intensity 80
d = 5.411 Å, 2θ 16.38, intensity 70
d = 5.049 Å, 2θ 17.56, intensity 55
d = 2.970 Å, 2θ 30.09, intensity 52
d = 3.398 Å, 2θ 26.23, intensity 43
d = 2.089 Å, 2θ 43.32, intensity 30
d = 3.160 Å, 2θ 28.24, intensity 30
d = 2.139 Å, 2θ 42.25, intensity 27
d = 2.632 Å, 2θ 34.06, intensity 26

---

Simulated PXRD pattern of UBO3 for Cu Kα, 1.54184 Å, from a crystal structure in the Materials Project, relaxed with GGA-PBE.

Structure:
a b c (Å): 3.588 3.588 3.588
angles (deg): 90.00 90.00 90.00
Atoms (fractional coordinates):
1 U 0.000 0.000 0.000
2 B 0.500 0.500 0.500
3 O 0.000 0.500 0.500
4 O 0.500 0.000 0.500
5 O 0.500 0.500 0.000

The 6 most intense peaks (5 to 70 degrees two-theta), in order of falling intensity:
d = 3.588 Å, 2θ 24.82, intensity 100
d = 2.537 Å, 2θ 35.38, intensity 99
d = 2.071 Å, 2θ 43.70, intensity 55
d = 1.605 Å, 2θ 57.43, intensity 46
d = 1.465 Å, 2θ 63.52, intensity 39
d = 1.794 Å, 2θ 50.90, intensity 29

---

Repeat the second record exactly.
Simulated PXRD pattern of UBO3 for Cu Kα, 1.54184 Å, from a crystal structure in the Materials Project, relaxed with GGA-PBE.

Structure:
a b c (Å): 3.588 3.588 3.588
angles (deg): 90.00 90.00 90.00
Atoms (fractional coordinates):
1 U 0.000 0.000 0.000
2 B 0.500 0.500 0.500
3 O 0.000 0.500 0.500
4 O 0.500 0.000 0.500
5 O 0.500 0.500 0.000

The 6 most intense peaks (5 to 70 degrees two-theta), in order of falling intensity:
d = 3.588 Å, 2θ 24.82, intensity 100
d = 2.537 Å, 2θ 35.38, intensity 99
d = 2.071 Å, 2θ 43.70, intensity 55
d = 1.605 Å, 2θ 57.43, intensity 46
d = 1.465 Å, 2θ 63.52, intensity 39
d = 1.794 Å, 2θ 50.90, intensity 29